Simulated X-ray diffraction stick pattern
Compound: Y3Br2
Radiation: copper Kα
Structure: a crystal structure in Alexandria, relaxed with GGA-PBE

Atomic structure:
```
Y3Br2
1.0
0.0000 7.8890 3.0976
5.8972 0.0000 3.0976
5.8972 7.8890 0.0000
Y Br
6 4
Direct
0.0000 0.0000 0.0000
0.2500 0.2500 0.2500
0.4263 0.5441 0.7021
0.5441 0.4263 0.3275
0.5479 0.9225 0.8237
0.9225 0.5479 0.7059
0.1511 0.8604 0.6891
0.5609 0.9506 0.0989
0.8604 0.1511 0.2994
0.9506 0.5609 0.3896
```

Top 10 peaks for 2θ = 10–80°, by intensity:
- 2θ 31.02, rel. 1000
- 2θ 31.88, rel. 903
- 2θ 27.20, rel. 797
- 2θ 27.46, rel. 560
- 2θ 41.35, rel. 539
- 2θ 34.63, rel. 480
- 2θ 37.45, rel. 381
- 2θ 44.57, rel. 288
- 2θ 39.40, rel. 266
- 2θ 40.04, rel. 262

Simulated X-ray diffraction stick pattern
Compound: Y7Br6
Radiation: copper Kα
Structure: a crystal structure in Alexandria, relaxed with GGA-PBE

Atomic structure:
```
Y7Br6
1.0
3.2561 1.8799 11.4868
-3.2561 1.8799 11.4868
0.0000 -3.7598 11.4868
Y Br
7 6
Direct
0.0000 0.0000 0.0000
0.0768 0.0768 0.5798
0.0768 0.5798 0.0768
0.4202 0.9232 0.9232
0.5798 0.0768 0.0768
0.9232 0.4202 0.9232
0.9232 0.9232 0.4202
0.1567 0.1567 0.1567
0.3108 0.3108 0.3108
0.4289 0.4289 0.4289
0.5711 0.5711 0.5711
0.6892 0.6892 0.6892
0.8433 0.8433 0.8433
```

Top 10 peaks for 2θ = 10–80°, by intensity:
- 2θ 36.73, rel. 1000
- 2θ 31.59, rel. 456
- 2θ 31.84, rel. 394
- 2θ 27.39, rel. 368
- 2θ 56.53, rel. 362
- 2θ 38.14, rel. 351
- 2θ 31.14, rel. 334
- 2θ 15.43, rel. 331
- 2θ 34.36, rel. 295
- 2θ 23.99, rel. 265

Simulated X-ray diffraction stick pattern
Compound: ZnBr2
Radiation: copper Kα
Structure: a crystal structure in Alexandria, relaxed with GGA-PBE

Atomic structure:
```
ZnBr2
1.0
3.7930 0.0000 0.0000
-1.8965 3.2848 0.0000
0.0000 0.0000 21.3537
Zn Br
3 6
Direct
0.0000 0.0000 0.0000
0.3333 0.6667 0.6667
0.6667 0.3333 0.3333
0.0000 0.0000 0.2636
0.0000 0.0000 0.7364
0.3333 0.6667 0.4030
0.3333 0.6667 0.9303
0.6667 0.3333 0.0697
0.6667 0.3333 0.5970
```

Top 10 peaks for 2θ = 10–80°, by intensity:
- 2θ 31.99, rel. 1000
- 2θ 12.44, rel. 799
- 2θ 47.97, rel. 339
- 2θ 43.70, rel. 319
- 2θ 40.35, rel. 275
- 2θ 28.43, rel. 219
- 2θ 54.92, rel. 210
- 2θ 58.83, rel. 166
- 2θ 49.75, rel. 140
- 2θ 79.21, rel. 138

Simulated X-ray diffraction stick pattern
Compound: ZnBr
Radiation: copper Kα
Structure: a crystal structure in Alexandria, relaxed with GGA-PBE

Atomic structure:
```
ZnBr
1.0
3.7644 0.0000 0.0000
0.0000 16.1021 0.0000
0.0000 0.0000 6.2237
Zn Br
6 6
Direct
0.0000 0.0000 0.0000
0.0000 0.4234 0.2359
0.0000 0.5766 0.2359
0.5000 0.0766 0.7359
0.5000 0.5000 0.5000
0.5000 0.9234 0.7359
0.0000 0.1785 0.7203
0.0000 0.5000 0.8390
0.0000 0.8214 0.7203
0.5000 0.0000 0.3390
0.5000 0.3214 0.2203
0.5000 0.6786 0.2203
```

Top 10 peaks for 2θ = 10–80°, by intensity:
- 2θ 43.94, rel. 1000
- 2θ 21.87, rel. 882
- 2θ 10.99, rel. 767
- 2θ 15.26, rel. 684
- 2θ 29.88, rel. 553
- 2θ 41.23, rel. 522
- 2θ 28.97, rel. 328
- 2θ 28.69, rel. 315
- 2θ 37.93, rel. 297
- 2θ 36.73, rel. 243